Calculated powder diffraction line list of Tb3Si4Ni2 for Cu Ka, from DFT lattice parameters and positions (GGA-PBE).
Lines closer than 0.1° are merged.

Peak list (8 most intense, 2θ from 10° to 90°, most intense first)
- 2.627 Å, 34.13 deg, I 100
- 3.451 Å, 25.82 deg, I 28
- 1.999 Å, 45.37 deg, I 26
- 2.640 Å, 33.96 deg, I 21
- 1.587 Å, 58.11 deg, I 17
- 1.420 Å, 65.78 deg, I 17
- 3.468 Å, 25.69 deg, I 14
- 2.025 Å, 44.74 deg, I 13

Cell and atoms:
```
Tb3Si4Ni2
1.0
5.344 -1.989 0.000
5.344 1.989 0.000
-1.441 0.000 7.887
Tb Si Ni
3 4 2
direct
0.000 0.000 0.000
0.336 0.336 0.338
0.664 0.664 0.662
0.056 0.056 0.383
0.281 0.281 0.933
0.719 0.719 0.067
0.944 0.944 0.617
0.392 0.392 0.721
0.608 0.608 0.279
```

Calculated powder diffraction line list of TbSi4Ni2 for Cu Ka, from DFT lattice parameters and positions (GGA-PBE).
Lines closer than 0.1° are merged.

Peak list (8 most intense, 2θ from 10° to 90°, most intense first)
- 2.362 Å, 38.10 deg, I 100
- 2.373 Å, 37.92 deg, I 64
- 2.255 Å, 39.98 deg, I 62
- 3.558 Å, 25.02 deg, I 45
- 1.962 Å, 46.28 deg, I 38
- 5.917 Å, 14.97 deg, I 34
- 2.871 Å, 31.15 deg, I 31
- 1.480 Å, 62.78 deg, I 26

Cell and atoms:
```
TbSi4Ni2
1.0
16.898 0.000 0.000
0.000 3.923 0.000
0.000 0.000 6.317
Tb Si Ni
4 16 8
direct
0.139 0.250 0.041
0.361 0.750 0.541
0.639 0.250 0.459
0.861 0.750 0.959
0.021 0.750 0.130
0.064 0.250 0.524
0.181 0.750 0.707
0.209 0.750 0.307
0.291 0.250 0.807
0.319 0.250 0.207
0.436 0.750 0.024
0.479 0.250 0.630
0.521 0.750 0.370
0.564 0.250 0.976
0.681 0.750 0.793
0.709 0.750 0.193
0.791 0.250 0.693
0.819 0.250 0.293
0.936 0.750 0.476
0.979 0.250 0.870
0.037 0.750 0.744
0.208 0.250 0.502
0.292 0.750 0.002
0.463 0.250 0.244
0.537 0.750 0.756
0.708 0.250 0.998
0.792 0.750 0.498
0.963 0.250 0.256
```

Calculated powder diffraction line list of Tb2Si4Ni5 for Cu Ka, from DFT lattice parameters and positions (GGA-PBE).
Lines closer than 0.1° are merged.

Peak list (8 most intense, 2θ from 10° to 90°, most intense first)
- 3.202 Å, 27.86 deg, I 100
- 2.321 Å, 38.79 deg, I 95
- 2.286 Å, 39.41 deg, I 89
- 2.694 Å, 33.26 deg, I 82
- 2.087 Å, 43.36 deg, I 67
- 2.309 Å, 39.00 deg, I 38
- 2.619 Å, 34.24 deg, I 31
- 1.336 Å, 70.49 deg, I 26

Cell and atoms:
```
Tb2Si4Ni5
1.0
0.000 4.619 6.633
2.685 0.000 6.633
2.685 4.619 0.000
Tb Si Ni
2 4 5
direct
0.140 0.140 0.860
0.860 0.860 0.140
0.219 0.515 0.485
0.485 0.781 0.219
0.515 0.219 0.781
0.781 0.485 0.515
0.000 0.000 0.500
0.250 0.250 0.250
0.500 0.500 0.000
0.500 0.500 0.500
0.750 0.750 0.750
```

Calculated powder diffraction line list of TbSi3Ni5 for Cu Ka, from DFT lattice parameters and positions (GGA-PBE).
Lines closer than 0.1° are merged.

Peak list (8 most intense, 2θ from 10° to 90°, most intense first)
- 2.589 Å, 34.64 deg, I 100
- 1.831 Å, 49.79 deg, I 69
- 2.227 Å, 40.50 deg, I 66
- 2.423 Å, 37.10 deg, I 61
- 2.669 Å, 33.58 deg, I 58
- 3.216 Å, 27.74 deg, I 48
- 2.604 Å, 34.44 deg, I 37
- 2.832 Å, 31.59 deg, I 31

Cell and atoms:
```
TbSi3Ni5
1.0
1.832 -5.842 0.000
1.832 5.842 0.000
0.000 0.000 11.559
Tb Si Ni
2 6 10
direct
0.159 0.841 0.750
0.841 0.159 0.250
0.114 0.886 0.250
0.383 0.617 0.040
0.383 0.617 0.460
0.617 0.383 0.540
0.617 0.383 0.960
0.886 0.114 0.750
0.000 0.000 0.000
0.000 0.000 0.500
0.197 0.803 0.068
0.197 0.803 0.432
0.449 0.551 0.646
0.449 0.551 0.854
0.551 0.449 0.146
0.551 0.449 0.354
0.803 0.197 0.568
0.803 0.197 0.932
```

Calculated powder diffraction line list of SiTcNi for Cu Ka, from DFT lattice parameters and positions (GGA-PBE).
Lines closer than 0.1° are merged.

Peak list (8 most intense, 2θ from 10° to 90°, most intense first)
- 2.000 Å, 45.35 deg, I 100
- 2.323 Å, 38.76 deg, I 86
- 2.030 Å, 44.63 deg, I 56
- 1.961 Å, 46.30 deg, I 47
- 2.406 Å, 37.38 deg, I 45
- 1.162 Å, 83.17 deg, I 33
- 3.785 Å, 23.50 deg, I 28
- 1.951 Å, 46.54 deg, I 25

Cell and atoms:
```
SiTcNi
1.0
-2.339 2.406 3.221
2.339 -2.406 3.221
2.339 2.406 -3.221
Si Tc Ni
2 2 2
direct
0.000 0.000 0.000
0.500 0.000 0.500
0.375 0.625 0.750
0.625 0.375 0.250
0.000 0.000 0.500
0.000 0.500 0.000
```

Calculated powder diffraction line list of Th3Si2Ni2 for Cu Ka, from DFT lattice parameters and positions (GGA-PBE).
Lines closer than 0.1° are merged.

Peak list (8 most intense, 2θ from 10° to 90°, most intense first)
- 2.749 Å, 32.58 deg, I 100
- 3.392 Å, 26.27 deg, I 69
- 2.702 Å, 33.16 deg, I 63
- 1.633 Å, 56.32 deg, I 28
- 1.741 Å, 52.55 deg, I 22
- 2.051 Å, 44.16 deg, I 21
- 2.029 Å, 44.65 deg, I 20
- 3.017 Å, 29.61 deg, I 19

Cell and atoms:
```
Th3Si2Ni2
1.0
9.275 -2.051 0.000
9.275 2.051 0.000
-0.887 0.000 3.961
Th Si Ni
3 2 2
direct
0.000 0.000 0.000
0.316 0.316 0.815
0.684 0.684 0.185
0.135 0.135 0.635
0.865 0.865 0.365
0.432 0.432 0.432
0.568 0.568 0.568
```

Calculated powder diffraction line list of ThSiNi3 for Cu Ka, from DFT lattice parameters and positions (GGA-PBE).
Lines closer than 0.1° are merged.

Peak list (8 most intense, 2θ from 10° to 90°, most intense first)
- 2.244 Å, 40.19 deg, I 100
- 2.940 Å, 30.40 deg, I 56
- 3.744 Å, 23.76 deg, I 41
- 2.803 Å, 31.93 deg, I 36
- 2.378 Å, 37.84 deg, I 29
- 2.064 Å, 43.86 deg, I 28
- 1.525 Å, 60.73 deg, I 27
- 1.752 Å, 52.22 deg, I 24

Cell and atoms:
```
ThSiNi3
1.0
5.606 0.000 0.000
-2.803 4.855 0.000
0.000 0.000 11.762
Th Si Ni
4 4 12
direct
0.000 0.000 0.000
0.000 0.000 0.500
0.333 0.667 0.250
0.667 0.333 0.750
0.333 0.667 0.637
0.333 0.667 0.863
0.667 0.333 0.137
0.667 0.333 0.363
0.000 0.500 0.000
0.000 0.500 0.500
0.141 0.282 0.750
0.141 0.859 0.750
0.282 0.141 0.250
0.500 0.000 0.000
0.500 0.000 0.500
0.500 0.500 0.000
0.500 0.500 0.500
0.718 0.859 0.750
0.859 0.141 0.250
0.859 0.718 0.250
```

Calculated powder diffraction line list of Th3Si2Ni for Cu Ka, from DFT lattice parameters and positions (GGA-PBE).
Lines closer than 0.1° are merged.

Peak list (8 most intense, 2θ from 10° to 90°, most intense first)
- 3.253 Å, 27.42 deg, I 100
- 2.804 Å, 31.92 deg, I 86
- 2.557 Å, 35.10 deg, I 45
- 2.917 Å, 30.65 deg, I 37
- 3.692 Å, 24.11 deg, I 35
- 2.064 Å, 43.86 deg, I 33
- 1.786 Å, 51.15 deg, I 32
- 2.873 Å, 31.13 deg, I 29

Cell and atoms:
```
Th3Si2Ni
1.0
11.874 0.000 0.000
0.000 4.129 0.000
0.000 0.000 11.459
Th Si Ni
12 8 4
direct
0.054 0.250 0.121
0.120 0.750 0.559
0.214 0.250 0.789
0.286 0.750 0.289
0.380 0.250 0.059
0.446 0.750 0.621
0.554 0.250 0.379
0.620 0.750 0.941
0.714 0.250 0.711
0.786 0.750 0.211
0.880 0.250 0.441
0.946 0.750 0.879
0.027 0.750 0.313
0.196 0.750 0.991
0.304 0.250 0.491
0.473 0.250 0.813
0.527 0.750 0.187
0.696 0.750 0.509
0.804 0.250 0.009
0.973 0.250 0.687
0.130 0.250 0.370
0.370 0.750 0.870
0.630 0.250 0.130
0.870 0.750 0.630
```